[1]
The following is a computed PXRD pattern of CrRe4. It was derived from a cell relaxed with PBE, using Cu Kα.

Structural model:
```
CrRe4
1.0
9.393 0.000 0.000
0.000 9.393 0.000
0.000 0.000 5.001
Cr Re
6 24
direct
0.000 0.000 0.000
0.084 0.084 0.500
0.416 0.584 0.000
0.500 0.500 0.500
0.584 0.416 0.000
0.916 0.916 0.500
0.034 0.360 0.500
0.063 0.255 0.000
0.140 0.534 0.000
0.182 0.818 0.251
0.182 0.818 0.749
0.245 0.563 0.500
0.255 0.063 0.000
0.318 0.318 0.249
0.318 0.318 0.751
0.360 0.034 0.500
0.437 0.755 0.500
0.466 0.860 0.000
0.534 0.140 0.000
0.563 0.245 0.500
0.640 0.966 0.500
0.682 0.682 0.249
0.682 0.682 0.751
0.745 0.937 0.000
0.755 0.437 0.500
0.818 0.182 0.251
0.818 0.182 0.749
0.860 0.466 0.000
0.937 0.745 0.000
0.966 0.640 0.500
```

Top 10 peaks for 2θ = 10–90°, most intense first:
two_theta	I_rel
39.56	1000
43.66	715
42.05	670
40.76	414
44.77	390
45.40	293
40.89	279
76.17	229
89.39	208
69.92	175

[2]
The following is a computed PXRD pattern of Th2Sc6Cd. It was derived from a cell relaxed with PBE, using Cu Kα.

Structural model:
```
Th2Sc6Cd
1.0
9.129 0.000 0.000
-4.565 7.906 0.000
0.000 0.000 3.209
Th Sc Cd
2 6 1
direct
0.333 0.667 0.000
0.667 0.333 0.000
0.000 0.328 0.500
0.000 0.672 0.500
0.328 0.000 0.500
0.328 0.328 0.500
0.672 0.000 0.500
0.672 0.672 0.500
0.000 0.000 0.000
```

Top 10 peaks for 2θ = 10–90°, most intense first:
two_theta	I_rel
34.16	1000
19.45	725
34.02	719
60.95	498
48.98	359
68.46	180
81.78	160
11.19	135
39.48	129
53.08	114

[3]
The following is a computed PXRD pattern of La2Be3Pt12Rh. It was derived from a cell relaxed with PBE, using Cu Kα.

Structural model:
```
La2Be3Pt12Rh
1.0
3.953 2.282 6.270
-3.953 2.282 6.270
0.000 -4.565 6.270
La Be Pt Rh
2 3 12 1
direct
0.113 0.113 0.113
0.887 0.887 0.887
0.000 0.500 0.500
0.500 0.000 0.500
0.500 0.500 0.000
0.108 0.627 0.627
0.146 0.146 0.606
0.146 0.606 0.146
0.373 0.373 0.892
0.373 0.892 0.373
0.394 0.854 0.854
0.606 0.146 0.146
0.627 0.108 0.627
0.627 0.627 0.108
0.854 0.394 0.854
0.854 0.854 0.394
0.892 0.373 0.373
0.500 0.500 0.500
```

Top 10 peaks for 2θ = 10–90°, most intense first:
two_theta	I_rel
32.34	1000
45.91	454
46.87	402
57.27	182
76.33	144
22.94	141
67.70	124
85.69	122
77.76	118
39.75	78

[4]
The following is a computed PXRD pattern of Ba2P2Pt7. It was derived from a cell relaxed with PBE, using Cu Kα.

Structural model:
```
Ba2P2Pt7
1.0
4.221 0.000 0.000
1.336 6.849 0.000
0.485 3.353 8.467
Ba P Pt
2 2 7
direct
0.001 0.184 0.231
0.999 0.816 0.769
0.346 0.260 0.749
0.654 0.740 0.251
0.160 0.614 0.369
0.420 0.172 0.528
0.449 0.596 0.093
0.500 0.000 0.000
0.551 0.404 0.907
0.580 0.828 0.472
0.840 0.386 0.631
```

Top 10 peaks for 2θ = 10–90°, most intense first:
two_theta	I_rel
29.88	1000
28.16	854
33.52	813
30.50	779
42.86	594
31.73	575
41.62	557
32.13	533
39.62	454
21.45	443

[5]
The following is a computed PXRD pattern of Mg3AlS4. It was derived from a cell relaxed with PBE, using Cu Kα.

Structural model:
```
Mg3AlS4
1.0
5.652 0.000 0.000
0.000 5.652 0.000
0.000 0.000 5.652
Mg Al S
3 1 4
direct
0.000 0.000 0.500
0.000 0.500 0.000
0.500 0.000 0.000
0.500 0.500 0.500
0.260 0.260 0.740
0.260 0.740 0.260
0.740 0.260 0.260
0.740 0.740 0.740
```

Top 10 peaks for 2θ = 10–90°, most intense first:
two_theta	I_rel
27.33	1000
45.38	645
53.79	376
83.85	195
72.96	144
66.13	96
31.66	14
15.68	13
39.03	11
88.13	8

[6]
The following is a computed PXRD pattern of NaMn2S4. It was derived from a cell relaxed with PBE, using Cu Kα.

Structural model:
```
NaMn2S4
1.0
5.783 0.000 0.000
0.000 3.386 0.000
-0.048 0.000 6.878
Na Mn S
1 2 4
direct
0.000 0.000 0.000
0.000 0.000 0.500
0.500 0.500 0.500
0.165 0.500 0.310
0.337 0.000 0.690
0.663 0.000 0.310
0.835 0.500 0.690
```

Top 10 peaks for 2θ = 10–90°, most intense first:
two_theta	I_rel
12.87	1000
40.44	373
33.28	289
40.92	177
50.68	150
54.80	146
33.71	140
40.60	93
62.80	78
54.17	76

[7]
The following is a computed PXRD pattern of ZnAg6Au5. It was derived from a cell relaxed with PBE, using Cu Kα.

Structural model:
```
ZnAg6Au5
1.0
4.055 0.000 0.000
2.000 7.479 0.000
1.993 2.708 6.994
Zn Ag Au
1 6 5
direct
0.000 0.000 0.000
0.166 0.084 0.584
0.166 0.584 0.084
0.499 0.250 0.750
0.501 0.750 0.250
0.834 0.416 0.916
0.834 0.916 0.416
0.000 0.500 0.500
0.331 0.670 0.669
0.342 0.158 0.158
0.658 0.842 0.842
0.669 0.330 0.331
```

Top 10 peaks for 2θ = 10–90°, most intense first:
two_theta	I_rel
37.62	1000
37.76	990
42.72	352
43.97	315
44.69	308
63.54	212
74.92	131
77.57	120
77.82	119
62.87	107

[8]
The following is a computed PXRD pattern of Tb4Pr3Er5. It was derived from a cell relaxed with PBE, using Cu Kα.

Structural model:
```
Tb4Pr3Er5
1.0
6.187 0.000 0.000
0.021 7.148 0.000
0.026 0.010 8.759
Tb Pr Er
4 3 5
direct
0.167 0.000 0.331
0.331 0.751 0.667
0.669 0.249 0.333
0.833 0.000 0.669
0.333 0.249 0.666
0.500 0.500 0.000
0.667 0.751 0.334
0.001 0.751 0.000
0.164 0.500 0.332
0.500 0.000 0.000
0.836 0.500 0.668
0.999 0.249 0.000
```

Top 10 peaks for 2θ = 10–90°, most intense first:
two_theta	I_rel
30.64	1000
35.50	338
60.79	250
51.06	181
51.17	180
35.56	168
60.68	108
60.89	71
63.71	62
83.45	59

[9]
The following is a computed PXRD pattern of YZrIn. It was derived from a cell relaxed with PBE, using Cu Kα.

Structural model:
```
YZrIn
1.0
5.126 0.000 0.000
-2.563 4.439 0.000
0.000 0.000 3.477
Y Zr In
1 1 1
direct
0.000 0.000 0.000
0.667 0.333 0.498
0.333 0.667 0.505
```

Top 10 peaks for 2θ = 10–90°, most intense first:
two_theta	I_rel
32.72	1000
35.01	969
48.67	319
61.35	311
64.80	306
62.80	169
43.89	161
86.34	138
83.25	129
25.62	115

[10]
The following is a computed PXRD pattern of Ba3ZrP3. It was derived from a cell relaxed with PBE, using Cu Kα.

Structural model:
```
Ba3ZrP3
1.0
9.802 -3.586 0.000
9.802 3.586 0.000
0.000 0.000 13.122
Ba Zr P
12 4 12
direct
0.014 0.340 0.865
0.146 0.854 0.840
0.160 0.486 0.635
0.340 0.014 0.135
0.354 0.646 0.340
0.486 0.160 0.365
0.514 0.840 0.635
0.646 0.354 0.660
0.660 0.986 0.865
0.840 0.514 0.365
0.854 0.146 0.160
0.986 0.660 0.135
0.086 0.086 0.500
0.414 0.414 0.000
0.586 0.586 0.000
0.914 0.914 0.500
0.046 0.639 0.382
0.139 0.546 0.882
0.211 0.789 0.595
0.289 0.711 0.095
0.361 0.954 0.382
0.454 0.861 0.882
0.546 0.139 0.118
0.639 0.046 0.618
0.711 0.289 0.905
0.789 0.211 0.405
0.861 0.454 0.118
0.954 0.361 0.618
```

Top 10 peaks for 2θ = 10–90°, most intense first:
two_theta	I_rel
27.32	1000
22.86	871
24.26	619
38.90	525
26.79	412
27.18	314
49.26	311
37.13	279
37.23	278
31.66	239

[11]
The following is a computed PXRD pattern of Pm2TlReO8. It was derived from a cell relaxed with PBE, using Cu Kα.

Structural model:
```
Pm2TlReO8
1.0
4.905 0.000 0.000
-0.333 4.898 0.000
-0.219 -0.238 7.360
Pm Tl Re O
2 1 1 8
direct
0.043 0.042 0.259
0.957 0.958 0.741
0.500 0.500 0.000
0.500 0.500 0.500
0.200 0.201 0.982
0.220 0.223 0.536
0.282 0.645 0.312
0.357 0.720 0.688
0.643 0.280 0.312
0.718 0.355 0.688
0.780 0.777 0.464
0.800 0.799 0.018
```

Top 10 peaks for 2θ = 10–90°, most intense first:
two_theta	I_rel
24.83	1000
30.87	907
26.63	693
29.90	536
29.92	510
47.01	346
47.67	345
48.47	290
36.71	229
56.19	220

[12]
The following is a computed PXRD pattern of In5AgTe4. It was derived from a cell relaxed with PBE, using Cu Kα.

Structural model:
```
In5AgTe4
1.0
9.329 0.000 0.000
0.000 9.351 0.000
0.000 0.000 8.636
In Ag Te
10 2 8
direct
0.073 0.001 0.248
0.073 0.499 0.248
0.250 0.750 0.837
0.427 0.001 0.248
0.427 0.499 0.248
0.573 0.501 0.752
0.573 0.999 0.752
0.750 0.250 0.163
0.927 0.501 0.752
0.927 0.999 0.752
0.250 0.250 0.755
0.750 0.750 0.245
0.014 0.250 0.989
0.250 0.517 0.617
0.250 0.983 0.617
0.486 0.250 0.989
0.514 0.750 0.011
0.750 0.017 0.383
0.750 0.483 0.383
0.986 0.750 0.011
```

Top 10 peaks for 2θ = 10–90°, most intense first:
two_theta	I_rel
21.63	1000
34.18	859
30.55	799
38.53	517
28.13	399
49.94	379
37.95	363
29.75	344
23.65	294
44.65	278